Diffraction record for Tm12CdCo5. The powder diffraction line list is calculated, not measured: it uses a structure optimized by DFT (GGA-PBE) and Cu Kα (λ = 1.5418 Å).

Top 8 peaks for 2θ from 15° to 90°, sorted by position:
- 2θ 29.19, I 25
- 2θ 30.54, I 53
- 2θ 33.04, I 100
- 2θ 35.17, I 52
- 2θ 35.92, I 47
- 2θ 36.27, I 47
- 2θ 55.95, I 22
- 2θ 61.51, I 28

Atomic structure:
Cell lengths 8.1422, 8.1422, 8.1422 Å; angles 111.10, 110.70, 106.65 degrees
Atoms (fractional coordinates):
Tm: 0.0100 0.8148 0.1951
Tm: 0.2141 0.5215 0.3074
Tm: 0.2141 0.9066 0.6926
Tm: 0.2870 0.3155 0.6025
Tm: 0.2870 0.6845 0.9715
Tm: 0.3803 0.1852 0.1951
Tm: 0.6197 0.8148 0.8049
Tm: 0.7130 0.3155 0.0285
Tm: 0.7130 0.6845 0.3975
Tm: 0.7859 0.0934 0.3074
Tm: 0.7859 0.4785 0.6926
Tm: 0.9900 0.1852 0.8049
Cd: 0.5000 0.0000 0.5000
Co: 0.0000 0.1251 0.1251
Co: 0.0000 0.5000 0.5000
Co: 0.0000 0.8749 0.8749
Co: 0.3866 0.3866 0.0000
Co: 0.6134 0.6134 0.0000



Diffraction record for Ho4Co2Sn. The powder diffraction line list is calculated, not measured: it uses a structure optimized by DFT (GGA-PBE) and Cu Kα (λ = 1.5418 Å).

Top 8 peaks for 2θ from 15° to 90°, sorted by position:
- 2θ 29.77, I 28
- 2θ 30.07, I 62
- 2θ 30.21, I 42
- 2θ 32.33, I 100
- 2θ 32.88, I 91
- 2θ 34.54, I 70
- 2θ 36.42, I 71
- 2θ 44.59, I 31

Atomic structure:
Cell lengths 8.8066, 8.8066, 6.4836 Å; angles 109.20, 109.20, 121.04 degrees
Atoms (fractional coordinates):
Ho: 0.0174 0.9826 0.5000
Ho: 0.1710 0.7089 0.3799
Ho: 0.4348 0.5563 0.6426
Ho: 0.5563 0.4348 0.1426
Ho: 0.6025 0.9830 0.2376
Ho: 0.7089 0.1710 0.8799
Ho: 0.9826 0.0174 0.0000
Ho: 0.9830 0.6025 0.7376
Co: 0.0057 0.3237 0.4041
Co: 0.3237 0.0057 0.9041
Co: 0.6110 0.7919 0.4760
Co: 0.7919 0.6110 0.9760
Sn: 0.1816 0.4315 0.9429
Sn: 0.4315 0.1816 0.4429